No. 1
For Rb2VO2F4, a structure optimized by DFT (PBE+U) gives the calculated powder XRD pattern in this record (CuKα).
Intensities are scaled so that the largest is 100.

Crystal structure
a b c (Å): 8.5382 8.7689 9.2961
angles (deg): 90.00 90.00 90.00
Space group Cmcm (No. 63)
Unique sites:
Rb  0.2478  0.0000  0.0000 (multiplicity 8)
V  0.0000  0.2536  0.2500 (multiplicity 4)
O  0.0000  0.0625  0.2500 (multiplicity 4)
O  0.0000  0.4796  0.2500 (multiplicity 4)
F  0.0000  0.2627  0.0456 (multiplicity 8)
F  0.2155  0.2898  0.2500 (multiplicity 8)

Main lines, in order of rising 2θ (2θ = 5–70°):
| 2theta | intensity | hkl |
| --- | --- | --- |
| 17.35 | 86 | 1 1 1 |
| 27.98 | 77 | 0 2 2 |
| 28.39 | 67 | 2 0 2 |
| 29.20 | 73 | 2 2 0 |
| 35.12 | 100 | 2 2 2 |
| 38.75 | 39 | 0 0 4 |
| 41.18 | 29 | 0 4 0 |
| 42.34 | 33 | 4 0 0 |
| 49.24 | 27 | 2 2 4 |
| 50.77 | 26 | 2 4 2 |

---

No. 2
For Na3MnO3, a structure optimized by DFT (PBE+U) gives the calculated powder XRD pattern in this record (CuKα).
Intensities are scaled so that the largest is 100.

Crystal structure
a b c (Å): 5.9095 12.4770 6.3590
angles (deg): 90.00 121.57 90.00
Space group P2_1/c (No. 14)
Unique sites:
Na  0.0335  0.0163  0.2540 (multiplicity 4)
Na  0.0616  0.2214  0.8608 (multiplicity 4)
Na  0.4380  0.0995  0.7893 (multiplicity 4)
Mn  0.4094  0.6593  0.1720 (multiplicity 4)
O  0.0427  0.6306  0.9948 (multiplicity 4)
O  0.3078  0.0659  0.1142 (multiplicity 4)
O  0.4554  0.7316  0.9313 (multiplicity 4)

Main lines, in order of rising 2θ (2θ = 5–70°):
| 2theta | intensity | hkl |
| --- | --- | --- |
| 21.92 | 100 | 1 2 -1 |
| 27.03 | 32 | 0 3 1 |
| 33.27 | 49 | 1 4 -1 |
| 33.60 | 49 | 2 0 -2 |
| 33.83 | 67 | 1 4 0 |
| 35.67 | 46 | 2 0 0 |
| 37.04 | 35 | 1 3 1 |
| 40.52 | 77 | 1 4 -2 |
| 41.89 | 30 | 1 4 1 |
| 46.27 | 35 | 2 2 -3 |